The following is a computed powder diffraction line list of NaSrPO4. It was derived from a PBE-relaxed structure, using a wavelength of 1.5418 Å.

Main lines, by angle (2θ = 5–70°):
hkl 0 1 1, 2θ 18.49, I = 597
hkl 1 1 2, 2θ 27.43, I = 272
hkl 1 0 3, 2θ 30.17, I = 259
hkl 2 0 2, 2θ 31.09, I = 429
hkl 2 1 1, 2θ 31.29, I = 1000
hkl 0 1 3, 2θ 31.91, I = 623
hkl 0 2 0, 2θ 32.51, I = 552
hkl 1 1 4, 2θ 42.41, I = 487
hkl 1 2 3, 2θ 44.95, I = 360
hkl 2 2 2, 2θ 45.60, I = 472

Structure:
```
data_NaSrPO4
_cell_length_a 7.117
_cell_length_b 5.508
_cell_length_c 9.774
_cell_angle_alpha 90.00
_cell_angle_beta 90.00
_cell_angle_gamma 90.00
_symmetry_space_group_name_H-M 'P n m a'
_symmetry_Int_Tables_number 62
_symmetry_space_group_name_Hall '-P 2ac 2n'
loop_
_atom_site_label
_atom_site_type_symbol
_atom_site_fract_x
_atom_site_fract_y
_atom_site_fract_z
_atom_site_occupancy
Na1 Na 0.175 0.250 0.071 1
Sr1 Sr 0.009 0.750 0.302 1
P1 P 0.230 0.250 0.421 1
O1 O 0.012 0.250 0.422 1
O2 O 0.195 0.750 0.072 1
O3 O 0.196 0.518 0.848 1
```